1.
Structure and theoretical powder X-ray diffraction pattern of LiTi4O8 (a crystal structure in the Materials Project, relaxed with GGA-PBE; Cu Kα, 1.54184 Å).
Neutral-atom scattering factors, no anomalous dispersion.

Principal peaks in the range 10° ≤ 2θ ≤ 90°, most intense first:
Position (°2θ), d (Å), I_rel, hkl
22.19, 4.006, 100, 1 1 -1
35.74, 2.512, 91, 1 -1 3
30.38, 2.942, 66, -1 2 1
21.41, 4.151, 59, -1 1 1
40.56, 2.224, 55, 0 1 -4
52.30, 1.749, 45, -2 3 2
17.81, 4.981, 39, 1 0 -1
31.51, 2.839, 37, 1 2 -1
51.14, 1.786, 27, 3 -1 1
64.45, 1.446, 25, 4 0 0

Structure:
abc: 5.8008 7.2503 10.1875
angles: 78.71 88.53 85.84
Sites, in units of the cell vectors:
Li  0.0000  0.0000  0.0000
Li  0.2580  0.9996  0.2576
Li  0.7423  0.8544  0.6152
Ti  0.0025  0.4384  0.9310
Ti  0.0271  0.1232  0.4787
Ti  0.2303  0.7367  0.6358
Ti  0.2457  0.4335  0.1808
Ti  0.2665  0.1161  0.7256
Ti  0.4813  0.7383  0.8924
Ti  0.4981  0.4299  0.4359
Ti  0.5224  0.1233  0.9757
Ti  0.7210  0.7336  0.1443
Ti  0.7500  0.4166  0.6879
Ti  0.7611  0.1179  0.2367
Ti  0.9740  0.7323  0.3886
O  0.0251  0.2882  0.7841
O  0.0270  0.9687  0.6631
O  0.0454  0.2270  0.2842
O  0.2150  0.6180  0.8309
O  0.2166  0.8864  0.4479
O  0.2208  0.5609  0.3382
O  0.2727  0.2865  0.0341
O  0.2850  0.9706  0.9165
O  0.2888  0.2384  0.5377
O  0.4590  0.6175  0.0817
O  0.4628  0.8846  0.7025
O  0.4760  0.5643  0.5869
O  0.5214  0.2916  0.2809
O  0.5340  0.2370  0.7863
O  0.5338  0.9700  0.1679
O  0.7089  0.6155  0.3324
O  0.7193  0.8861  0.9549
O  0.7228  0.5657  0.8351
O  0.7751  0.2932  0.5298
O  0.7800  0.9682  0.4193
O  0.7948  0.2264  0.0364
O  0.9509  0.6279  0.5840
O  0.9698  0.5636  0.0883
O  0.9740  0.8883  0.1999


2.
Structure and theoretical powder X-ray diffraction pattern of Na4P4H6O15 (a crystal structure in the Materials Project, relaxed with GGA-PBE; Cu Kα, 1.54184 Å).
Neutral-atom scattering factors, no anomalous dispersion.

Principal peaks in the range 10° ≤ 2θ ≤ 90°, most intense first:
Position (°2θ), d (Å), I_rel, hkl
16.35, 5.423, 100, 1 1 -1
16.75, 5.292, 92, 0 1 -2
16.49, 5.377, 91, 0 0 2
13.69, 6.468, 75, 0 1 1
17.99, 4.931, 63, 0 2 -1
27.58, 3.234, 49, 0 2 2
28.42, 3.141, 49, -2 1 1
31.85, 2.809, 46, 2 -2 0
33.80, 2.652, 45, 0 2 -4
30.28, 2.952, 44, 2 -1 1

Structure:
abc: 6.6945 10.0821 11.3157
angles: 103.98 101.08 90.99
Sites, in units of the cell vectors:
Na  0.0063  0.1604  0.1360
Na  0.2491  0.5274  0.9130
Na  0.3157  0.0606  0.3930
Na  0.4193  0.2160  0.7356
Na  0.5807  0.7840  0.2644
Na  0.6843  0.9394  0.6070
Na  0.7509  0.4726  0.0870
Na  0.9937  0.8396  0.8640
P  0.0968  0.7263  0.3105
P  0.1814  0.8570  0.5882
P  0.2811  0.4809  0.1981
P  0.4678  0.7452  0.7611
P  0.5322  0.2548  0.2389
P  0.7189  0.5191  0.8019
P  0.8186  0.1430  0.4118
P  0.9032  0.2737  0.6895
H  0.0758  0.8852  0.1424
H  0.1590  0.1111  0.9041
H  0.2266  0.3184  0.5161
H  0.4605  0.3602  0.5412
H  0.4618  0.9598  0.1257
H  0.4790  0.8434  0.0071
H  0.5210  0.1566  0.9929
H  0.5382  0.0402  0.8743
H  0.5395  0.6398  0.4588
H  0.7734  0.6816  0.4839
H  0.8410  0.8889  0.0959
H  0.9242  0.1148  0.8576
O  0.0236  0.8846  0.6664
O  0.0255  0.0900  0.9222
O  0.0615  0.7677  0.4524
O  0.0941  0.3930  0.1253
O  0.1103  0.3150  0.7708
O  0.2252  0.5910  0.3171
O  0.2326  0.8324  0.2862
O  0.3169  0.9722  0.5773
O  0.3216  0.7371  0.6273
O  0.3420  0.7354  0.8562
O  0.3619  0.2871  0.5393
O  0.3735  0.1373  0.2082
O  0.4068  0.5516  0.1313
O  0.4309  0.3989  0.2836
O  0.4570  0.1169  0.9046
O  0.5430  0.8831  0.0954
O  0.5691  0.6011  0.7164
O  0.5932  0.4484  0.8687
O  0.6265  0.8627  0.7918
O  0.6381  0.7129  0.4607
O  0.6580  0.2646  0.1438
O  0.6784  0.2629  0.3727
O  0.6831  0.0278  0.4227
O  0.7674  0.1676  0.7138
O  0.7748  0.4090  0.6829
O  0.8897  0.6850  0.2292
O  0.9059  0.6070  0.8747
O  0.9385  0.2323  0.5476
O  0.9745  0.9100  0.0778
O  0.9764  0.1154  0.3336


3.
Structure and theoretical powder X-ray diffraction pattern of CsCdF3 (a crystal structure in the Materials Project, relaxed with GGA-PBE; Cu Kα, 1.54184 Å).
Neutral-atom scattering factors, no anomalous dispersion.

Principal peaks in the range 10° ≤ 2θ ≤ 90°, most intense first:
Position (°2θ), d (Å), I_rel, hkl
27.65, 3.226, 100, 1 1 0
48.89, 1.863, 41, 2 1 1
39.50, 2.281, 35, 2 0 0
57.09, 1.613, 22, 2 2 0
78.42, 1.219, 21, 3 2 1
64.59, 1.443, 18, 3 1 0
71.65, 1.317, 7, 2 2 2
34.03, 2.634, 4, 1 1 1
85.04, 1.141, 3, 4 0 0
68.16, 1.376, 1, 3 1 1

Structure:
abc: 4.5629 4.5629 4.5629
angles: 90.00 90.00 90.00
Sites, in units of the cell vectors:
Cs  0.0000  0.0000  0.0000
Cd  0.5000  0.5000  0.5000
F  0.0000  0.5000  0.5000
F  0.5000  0.0000  0.5000
F  0.5000  0.5000  0.0000


4.
Structure and theoretical powder X-ray diffraction pattern of CuClO (a crystal structure in the Materials Project, relaxed with GGA-PBE; Cu Kα, 1.54184 Å).
Neutral-atom scattering factors, no anomalous dispersion.

Principal peaks in the range 10° ≤ 2θ ≤ 90°, most intense first:
Position (°2θ), d (Å), I_rel, hkl
15.54, 5.700, 100, 1 0 0
33.92, 2.643, 50, 0 2 1
31.86, 2.809, 28, 1 1 1
40.66, 2.219, 24, 1 2 1
37.27, 2.413, 22, 2 0 -2
46.98, 1.934, 13, 3 0 -2
60.10, 1.539, 13, 2 2 -3
52.80, 1.734, 11, 3 2 -1
41.16, 2.193, 10, 2 2 -1
36.54, 2.459, 9, 0 0 2

Structure:
abc: 6.2464 6.2672 5.3897
angles: 90.00 114.13 90.00
Sites, in units of the cell vectors:
Cu  0.0310  0.1170  0.2823
Cu  0.0310  0.3830  0.7823
Cu  0.9690  0.6170  0.2177
Cu  0.9690  0.8830  0.7177
Cl  0.3145  0.0789  0.1427
Cl  0.3145  0.4211  0.6427
Cl  0.6855  0.5789  0.3573
Cl  0.6855  0.9211  0.8573
O  0.1085  0.6485  0.9580
O  0.1085  0.8515  0.4580
O  0.8915  0.1485  0.5420
O  0.8915  0.3515  0.0420